[1]
Diffraction record for CsSn3Cl7. The powder diffractogram is computed, not measured: it uses a crystal structure in Alexandria, relaxed with PBE and Cu Ka.

Structural model:
```
data_CsSn3Cl7
_chemical_formula_sum 'Cs1 Sn3 Cl7'
_cell_length_a 7.0337
_cell_length_b 7.0337
_cell_length_c 7.3523
_cell_angle_alpha 101.90
_cell_angle_beta 101.90
_cell_angle_gamma 95.96
_symmetry_space_group_name_H-M 'P 1'
_symmetry_Int_Tables_number 1
loop_
_symmetry_equiv_pos_as_xyz
'x,y,z'
loop_
_atom_site_label
_atom_site_type_symbol
_atom_site_fract_x
_atom_site_fract_y
_atom_site_fract_z
Cs1 Cs 0.0000 0.0000 0.0000
Sn1 Sn 0.2721 0.7279 0.5000
Sn2 Sn 0.5000 0.5000 0.0000
Sn3 Sn 0.7279 0.2721 0.5000
Cl1 Cl 0.0000 0.0000 0.5000
Cl2 Cl 0.1259 0.5300 0.7647
Cl3 Cl 0.3583 0.3583 0.2888
Cl4 Cl 0.4700 0.8741 0.2353
Cl5 Cl 0.5300 0.1259 0.7647
Cl6 Cl 0.6417 0.6417 0.7112
Cl7 Cl 0.8741 0.4700 0.2353
```

Top 12 peaks for 2θ = 15–90°, sorted by position:
2θ = 19.82°, d = 4.479 Å, I 62.8; 2θ = 21.22°, d = 4.186 Å, I 100.0; 2θ = 26.32°, d = 3.386 Å, I 27.6; 2θ = 27.08°, d = 3.292 Å, I 75.0; 2θ = 31.84°, d = 2.811 Å, I 82.9; 2θ = 34.32°, d = 2.613 Å, I 32.9; 2θ = 37.17°, d = 2.419 Å, I 22.6; 2θ = 39.95°, d = 2.257 Å, I 25.4; 2θ = 41.52°, d = 2.175 Å, I 32.8; 2θ = 42.10°, d = 2.146 Å, I 38.7; 2θ = 42.45°, d = 2.129 Å, I 26.9; 2θ = 44.26°, d = 2.047 Å, I 28.2

[2]
Diffraction record for Cs2SnCl7. The powder diffractogram is computed, not measured: it uses a crystal structure in Alexandria, relaxed with PBE and Cu Ka.

Structural model:
```
data_Cs2SnCl7
_chemical_formula_sum 'Cs2 Sn1 Cl7'
_cell_length_a 7.8123
_cell_length_b 7.8123
_cell_length_c 7.8123
_cell_angle_alpha 116.93
_cell_angle_beta 116.93
_cell_angle_gamma 95.41
_symmetry_space_group_name_H-M 'P 1'
_symmetry_Int_Tables_number 1
loop_
_symmetry_equiv_pos_as_xyz
'x,y,z'
loop_
_atom_site_label
_atom_site_type_symbol
_atom_site_fract_x
_atom_site_fract_y
_atom_site_fract_z
Cs1 Cs 0.2500 0.7500 0.5000
Cs2 Cs 0.7500 0.2500 0.5000
Sn1 Sn 0.0000 0.0000 0.0000
Cl1 Cl 0.2134 0.2134 0.4268
Cl2 Cl 0.2134 0.7866 0.0000
Cl3 Cl 0.2393 0.2393 0.0000
Cl4 Cl 0.5000 0.5000 0.0000
Cl5 Cl 0.7607 0.7607 0.0000
Cl6 Cl 0.7866 0.2134 0.0000
Cl7 Cl 0.7866 0.7866 0.5732
```

Top 12 peaks for 2θ = 15–90°, sorted by position:
2θ = 21.75°, d = 4.086 Å, I 58.7; 2θ = 22.87°, d = 3.889 Å, I 100.0; 2θ = 27.65°, d = 3.226 Å, I 53.6; 2θ = 30.95°, d = 2.889 Å, I 69.6; 2θ = 34.11°, d = 2.629 Å, I 28.8; 2θ = 38.83°, d = 2.319 Å, I 43.3; 2θ = 40.79°, d = 2.212 Å, I 33.1; 2θ = 44.34°, d = 2.043 Å, I 22.2; 2θ = 46.71°, d = 1.945 Å, I 44.2; 2θ = 49.90°, d = 1.827 Å, I 16.5; 2θ = 57.09°, d = 1.613 Å, I 23.6; 2θ = 61.83°, d = 1.500 Å, I 17.2

[3]
Diffraction record for Cs2SnCl7. The powder diffractogram is computed, not measured: it uses a crystal structure in Alexandria, relaxed with PBE and Cu Ka.

Structural model:
```
data_Cs2SnCl7
_chemical_formula_sum 'Cs4 Sn2 Cl14'
_cell_length_a 9.9751
_cell_length_b 9.9751
_cell_length_c 11.0008
_cell_angle_alpha 120.75
_cell_angle_beta 120.75
_cell_angle_gamma 73.35
_symmetry_space_group_name_H-M 'P 1'
_symmetry_Int_Tables_number 1
loop_
_symmetry_equiv_pos_as_xyz
'x,y,z'
loop_
_atom_site_label
_atom_site_type_symbol
_atom_site_fract_x
_atom_site_fract_y
_atom_site_fract_z
Cs1 Cs 0.0221 0.3084 0.1306
Cs2 Cs 0.3084 0.0221 0.6306
Cs3 Cs 0.6916 0.9779 0.3694
Cs4 Cs 0.9779 0.6916 0.8694
Sn1 Sn 0.4082 0.5918 0.7500
Sn2 Sn 0.5918 0.4082 0.2500
Cl1 Cl 0.0015 0.1651 0.7517
Cl2 Cl 0.1651 0.0015 0.2517
Cl3 Cl 0.2221 0.4157 0.6752
Cl4 Cl 0.2343 0.6290 0.5187
Cl5 Cl 0.3710 0.7657 0.9813
Cl6 Cl 0.3931 0.6069 0.2500
Cl7 Cl 0.4157 0.2221 0.1752
Cl8 Cl 0.5843 0.7779 0.8248
Cl9 Cl 0.6069 0.3931 0.7500
Cl10 Cl 0.6290 0.2343 0.0187
Cl11 Cl 0.7657 0.3710 0.4813
Cl12 Cl 0.7779 0.5843 0.3248
Cl13 Cl 0.8349 0.9985 0.7483
Cl14 Cl 0.9985 0.8349 0.2483
```

Top 12 peaks for 2θ = 15–90°, sorted by position:
2θ = 17.68°, d = 5.016 Å, I 25.1; 2θ = 18.61°, d = 4.768 Å, I 100.0; 2θ = 18.80°, d = 4.719 Å, I 41.8; 2θ = 20.96°, d = 4.238 Å, I 13.3; 2θ = 22.02°, d = 4.037 Å, I 12.8; 2θ = 22.38°, d = 3.973 Å, I 19.3; 2θ = 22.89°, d = 3.885 Å, I 24.4; 2θ = 29.97°, d = 2.982 Å, I 40.3; 2θ = 31.32°, d = 2.856 Å, I 13.9; 2θ = 31.56°, d = 2.835 Å, I 21.7; 2θ = 34.76°, d = 2.581 Å, I 12.6; 2θ = 41.81°, d = 2.161 Å, I 19.5

[4]
Diffraction record for Cs3SnCl7. The powder diffractogram is computed, not measured: it uses a crystal structure in Alexandria, relaxed with PBE and Cu Ka.

Structural model:
```
data_Cs3SnCl7
_chemical_formula_sum 'Cs6 Sn2 Cl14'
_cell_length_a 10.3818
_cell_length_b 10.3818
_cell_length_c 7.4295
_cell_angle_alpha 90.00
_cell_angle_beta 90.00
_cell_angle_gamma 90.00
_symmetry_space_group_name_H-M 'P 1'
_symmetry_Int_Tables_number 1
loop_
_symmetry_equiv_pos_as_xyz
'x,y,z'
loop_
_atom_site_label
_atom_site_type_symbol
_atom_site_fract_x
_atom_site_fract_y
_atom_site_fract_z
Cs1 Cs 0.0000 0.0000 0.0000
Cs2 Cs 0.1796 0.3204 0.5000
Cs3 Cs 0.3204 0.8204 0.5000
Cs4 Cs 0.5000 0.5000 0.0000
Cs5 Cs 0.6796 0.1796 0.5000
Cs6 Cs 0.8204 0.6796 0.5000
Sn1 Sn 0.0000 0.5000 0.0000
Sn2 Sn 0.5000 0.0000 0.0000
Cl1 Cl 0.0000 0.0000 0.5000
Cl2 Cl 0.1175 0.6175 0.2387
Cl3 Cl 0.1175 0.6175 0.7613
Cl4 Cl 0.1677 0.3323 0.0000
Cl5 Cl 0.3323 0.8323 0.0000
Cl6 Cl 0.3825 0.1175 0.2387
Cl7 Cl 0.3825 0.1175 0.7613
Cl8 Cl 0.5000 0.5000 0.5000
Cl9 Cl 0.6175 0.8825 0.2387
Cl10 Cl 0.6175 0.8825 0.7613
Cl11 Cl 0.6677 0.1677 0.0000
Cl12 Cl 0.8323 0.6677 0.0000
Cl13 Cl 0.8825 0.3825 0.2387
Cl14 Cl 0.8825 0.3825 0.7613
```

Top 12 peaks for 2θ = 15–90°, sorted by position:
2θ = 19.12°, d = 4.643 Å, I 19.9; 2θ = 20.88°, d = 4.255 Å, I 100.0; 2θ = 22.58°, d = 3.937 Å, I 25.3; 2θ = 23.96°, d = 3.715 Å, I 35.3; 2θ = 24.25°, d = 3.671 Å, I 52.2; 2θ = 27.15°, d = 3.285 Å, I 38.0; 2θ = 30.83°, d = 2.901 Å, I 73.1; 2θ = 34.35°, d = 2.611 Å, I 41.2; 2θ = 35.66°, d = 2.518 Å, I 20.3; 2θ = 36.70°, d = 2.449 Å, I 21.0; 2θ = 38.78°, d = 2.322 Å, I 22.0; 2θ = 46.11°, d = 1.969 Å, I 25.8

[5]
Diffraction record for CsTlSn2Cl6. The powder diffractogram is computed, not measured: it uses a crystal structure in Alexandria, relaxed with PBE and Cu Ka.

Structural model:
```
data_CsTlSn2Cl6
_chemical_formula_sum 'Cs2 Tl2 Sn4 Cl12'
_cell_length_a 9.4876
_cell_length_b 9.4876
_cell_length_c 11.7589
_cell_angle_alpha 121.94
_cell_angle_beta 121.94
_cell_angle_gamma 65.65
_symmetry_space_group_name_H-M 'P 1'
_symmetry_Int_Tables_number 1
loop_
_symmetry_equiv_pos_as_xyz
'x,y,z'
loop_
_atom_site_label
_atom_site_type_symbol
_atom_site_fract_x
_atom_site_fract_y
_atom_site_fract_z
Cs1 Cs 0.1682 0.8318 0.7500
Cs2 Cs 0.8318 0.1682 0.2500
Tl1 Tl 0.3105 0.6895 0.2500
Tl2 Tl 0.6895 0.3105 0.7500
Sn1 Sn 0.2737 0.3183 0.3136
Sn2 Sn 0.3183 0.2737 0.8136
Sn3 Sn 0.6817 0.7263 0.1864
Sn4 Sn 0.7263 0.6817 0.6864
Cl1 Cl 0.0254 0.2073 0.6864
Cl2 Cl 0.2073 0.0254 0.1864
Cl3 Cl 0.2076 0.5908 0.9138
Cl4 Cl 0.2579 0.3759 0.5477
Cl5 Cl 0.3759 0.2579 0.0477
Cl6 Cl 0.4092 0.7924 0.5862
Cl7 Cl 0.5908 0.2076 0.4138
Cl8 Cl 0.6241 0.7421 0.9523
Cl9 Cl 0.7421 0.6241 0.4523
Cl10 Cl 0.7924 0.4092 0.0862
Cl11 Cl 0.7927 0.9746 0.8136
Cl12 Cl 0.9746 0.7927 0.3136
```

Top 12 peaks for 2θ = 15–90°, sorted by position:
2θ = 19.43°, d = 4.568 Å, I 68.4; 2θ = 19.81°, d = 4.482 Å, I 26.3; 2θ = 20.56°, d = 4.319 Å, I 26.2; 2θ = 22.35°, d = 3.979 Å, I 48.1; 2θ = 22.47°, d = 3.957 Å, I 100.0; 2θ = 23.07°, d = 3.855 Å, I 54.1; 2θ = 28.89°, d = 3.091 Å, I 28.9; 2θ = 29.56°, d = 3.022 Å, I 53.7; 2θ = 30.70°, d = 2.912 Å, I 50.8; 2θ = 36.67°, d = 2.451 Å, I 30.2; 2θ = 36.73°, d = 2.447 Å, I 35.2; 2θ = 54.41°, d = 1.686 Å, I 34.9

[6]
Diffraction record for CsSrCl3. The powder diffractogram is computed, not measured: it uses a crystal structure in Alexandria, relaxed with PBE and Cu Ka.

Structural model:
```
data_CsSrCl3
_chemical_formula_sum 'Cs2 Sr2 Cl6'
_cell_length_a 9.5514
_cell_length_b 4.4085
_cell_length_c 9.6300
_cell_angle_alpha 90.00
_cell_angle_beta 116.78
_cell_angle_gamma 90.00
_symmetry_space_group_name_H-M 'P 1'
_symmetry_Int_Tables_number 1
loop_
_symmetry_equiv_pos_as_xyz
'x,y,z'
loop_
_atom_site_label
_atom_site_type_symbol
_atom_site_fract_x
_atom_site_fract_y
_atom_site_fract_z
Cs1 Cs 0.0000 0.0000 0.0000
Cs2 Cs 0.0000 0.9996 0.5000
Sr1 Sr 0.5000 0.4992 0.0000
Sr2 Sr 0.5000 0.9980 0.5000
Cl1 Cl 0.1648 0.4998 0.8272
Cl2 Cl 0.2749 0.4982 0.4124
Cl3 Cl 0.4676 0.9992 0.1847
Cl4 Cl 0.5324 0.9992 0.8153
Cl5 Cl 0.7251 0.4982 0.5876
Cl6 Cl 0.8352 0.4998 0.1728
```

Top 12 peaks for 2θ = 15–90°, sorted by position:
2θ = 20.66°, d = 4.298 Å, I 59.3; 2θ = 20.84°, d = 4.263 Å, I 65.1; 2θ = 21.76°, d = 4.084 Å, I 38.0; 2θ = 22.69°, d = 3.918 Å, I 26.0; 2θ = 27.46°, d = 3.248 Å, I 100.0; 2θ = 29.14°, d = 3.065 Å, I 67.1; 2θ = 34.06°, d = 2.633 Å, I 23.2; 2θ = 35.73°, d = 2.513 Å, I 19.4; 2θ = 37.42°, d = 2.403 Å, I 37.3; 2θ = 37.70°, d = 2.386 Å, I 26.4; 2θ = 40.94°, d = 2.204 Å, I 29.2; 2θ = 46.33°, d = 1.960 Å, I 30.2

[7]
Diffraction record for CsSrCl3. The powder diffractogram is computed, not measured: it uses a crystal structure in Alexandria, relaxed with PBE and Cu Ka.

Structural model:
```
data_CsSrCl3
_chemical_formula_sum 'Cs2 Sr2 Cl6'
_cell_length_a 7.9661
_cell_length_b 7.9661
_cell_length_c 5.7883
_cell_angle_alpha 90.00
_cell_angle_beta 90.00
_cell_angle_gamma 90.00
_symmetry_space_group_name_H-M 'P 1'
_symmetry_Int_Tables_number 1
loop_
_symmetry_equiv_pos_as_xyz
'x,y,z'
loop_
_atom_site_label
_atom_site_type_symbol
_atom_site_fract_x
_atom_site_fract_y
_atom_site_fract_z
Cs1 Cs 0.0000 0.5000 0.0000
Cs2 Cs 0.5000 0.0000 0.0000
Sr1 Sr 0.0000 0.0000 0.5000
Sr2 Sr 0.5000 0.5000 0.5000
Cl1 Cl 0.0000 0.0000 0.0000
Cl2 Cl 0.1934 0.3066 0.5000
Cl3 Cl 0.3066 0.8066 0.5000
Cl4 Cl 0.5000 0.5000 0.0000
Cl5 Cl 0.6934 0.1934 0.5000
Cl6 Cl 0.8066 0.6934 0.5000
```

Top 12 peaks for 2θ = 15–90°, sorted by position:
2θ = 22.02°, d = 4.037 Å, I 100.0; 2θ = 22.32°, d = 3.983 Å, I 65.5; 2θ = 27.18°, d = 3.281 Å, I 37.2; 2θ = 30.90°, d = 2.894 Å, I 39.1; 2θ = 31.77°, d = 2.816 Å, I 59.4; 2θ = 38.45°, d = 2.341 Å, I 32.0; 2θ = 38.99°, d = 2.310 Å, I 64.3; 2θ = 44.91°, d = 2.018 Å, I 43.3; 2θ = 51.29°, d = 1.781 Å, I 20.5; 2θ = 56.05°, d = 1.641 Å, I 17.9; 2θ = 60.44°, d = 1.532 Å, I 17.8; 2θ = 61.09°, d = 1.517 Å, I 24.1

[8]
Diffraction record for CsSrCl. The powder diffractogram is computed, not measured: it uses a crystal structure in Alexandria, relaxed with PBE and Cu Ka.

Structural model:
```
data_CsSrCl
_chemical_formula_sum 'Cs2 Sr2 Cl2'
_cell_length_a 5.0101
_cell_length_b 5.0101
_cell_length_c 12.0320
_cell_angle_alpha 90.00
_cell_angle_beta 90.00
_cell_angle_gamma 90.00
_symmetry_space_group_name_H-M 'P 1'
_symmetry_Int_Tables_number 1
loop_
_symmetry_equiv_pos_as_xyz
'x,y,z'
loop_
_atom_site_label
_atom_site_type_symbol
_atom_site_fract_x
_atom_site_fract_y
_atom_site_fract_z
Cs1 Cs 0.2500 0.2500 0.1504
Cs2 Cs 0.7500 0.7500 0.8496
Sr1 Sr 0.2500 0.2500 0.5968
Sr2 Sr 0.7500 0.7500 0.4032
Cl1 Cl 0.2500 0.2500 0.8471
Cl2 Cl 0.7500 0.7500 0.1529
```

Top 12 peaks for 2θ = 15–90°, sorted by position:
2θ = 22.16°, d = 4.011 Å, I 18.3; 2θ = 23.10°, d = 3.850 Å, I 100.0; 2θ = 25.14°, d = 3.543 Å, I 91.5; 2θ = 29.70°, d = 3.008 Å, I 18.1; 2θ = 33.76°, d = 2.655 Å, I 23.9; 2θ = 35.85°, d = 2.505 Å, I 35.3; 2θ = 39.29°, d = 2.293 Å, I 33.2; 2θ = 42.55°, d = 2.125 Å, I 12.2; 2θ = 43.08°, d = 2.100 Å, I 39.3; 2θ = 47.22°, d = 1.925 Å, I 19.3; 2θ = 58.23°, d = 1.584 Å, I 16.6; 2θ = 66.73°, d = 1.402 Å, I 13.5

[9]
Diffraction record for CsSrCl3. The powder diffractogram is computed, not measured: it uses a crystal structure in Alexandria, relaxed with PBE and Cu Ka.

Structural model:
```
data_CsSrCl3
_chemical_formula_sum 'Cs2 Sr2 Cl6'
_cell_length_a 7.9966
_cell_length_b 7.9966
_cell_length_c 7.9966
_cell_angle_alpha 60.88
_cell_angle_beta 60.88
_cell_angle_gamma 60.88
_symmetry_space_group_name_H-M 'P 1'
_symmetry_Int_Tables_number 1
loop_
_symmetry_equiv_pos_as_xyz
'x,y,z'
loop_
_atom_site_label
_atom_site_type_symbol
_atom_site_fract_x
_atom_site_fract_y
_atom_site_fract_z
Cs1 Cs 0.0000 0.0000 0.0000
Cs2 Cs 0.5000 0.5000 0.5000
Sr1 Sr 0.2507 0.2507 0.2507
Sr2 Sr 0.7507 0.7507 0.7507
Cl1 Cl 0.0015 0.4388 0.5627
Cl2 Cl 0.0627 0.9388 0.5015
Cl3 Cl 0.4388 0.5627 0.0015
Cl4 Cl 0.5015 0.0627 0.9388
Cl5 Cl 0.5627 0.0015 0.4388
Cl6 Cl 0.9388 0.5015 0.0627
```

Top 12 peaks for 2θ = 15–90°, sorted by position:
2θ = 21.94°, d = 4.051 Å, I 80.8; 2θ = 22.24°, d = 3.998 Å, I 88.5; 2θ = 27.02°, d = 3.300 Å, I 27.5; 2θ = 31.44°, d = 2.846 Å, I 100.0; 2θ = 38.49°, d = 2.339 Å, I 31.1; 2θ = 38.67°, d = 2.329 Å, I 46.7; 2θ = 39.20°, d = 2.298 Å, I 20.6; 2θ = 44.74°, d = 2.026 Å, I 28.2; 2θ = 45.37°, d = 1.999 Å, I 34.2; 2θ = 50.51°, d = 1.807 Å, I 16.9; 2θ = 50.94°, d = 1.793 Å, I 21.1; 2θ = 60.59°, d = 1.528 Å, I 18.4

[10]
Diffraction record for CsSrTa6Cl18. The powder diffractogram is computed, not measured: it uses a crystal structure in Alexandria, relaxed with PBE and Cu Ka.

Structural model:
```
data_CsSrTa6Cl18
_chemical_formula_sum 'Cs2 Sr2 Ta12 Cl36'
_cell_length_a 9.5498
_cell_length_b 9.5498
_cell_length_c 17.6476
_cell_angle_alpha 90.00
_cell_angle_beta 90.00
_cell_angle_gamma 120.00
_symmetry_space_group_name_H-M 'P 1'
_symmetry_Int_Tables_number 1
loop_
_symmetry_equiv_pos_as_xyz
'x,y,z'
loop_
_atom_site_label
_atom_site_type_symbol
_atom_site_fract_x
_atom_site_fract_y
_atom_site_fract_z
Cs1 Cs 0.3333 0.6667 0.2500
Cs2 Cs 0.6667 0.3333 0.7500
Sr1 Sr 0.3333 0.6667 0.7500
Sr2 Sr 0.6667 0.3333 0.2500
Ta1 Ta 0.0297 0.1908 0.5680
Ta2 Ta 0.0297 0.8389 0.9320
Ta3 Ta 0.1611 0.1908 0.9320
Ta4 Ta 0.1611 0.9703 0.5680
Ta5 Ta 0.1908 0.0297 0.0680
Ta6 Ta 0.1908 0.1611 0.4320
Ta7 Ta 0.8092 0.8389 0.5680
Ta8 Ta 0.8092 0.9703 0.9320
Ta9 Ta 0.8389 0.0297 0.4320
Ta10 Ta 0.8389 0.8092 0.0680
Ta11 Ta 0.9703 0.1611 0.0680
Ta12 Ta 0.9703 0.8092 0.4320
Cl1 Cl 0.0343 0.2231 0.3412
Cl2 Cl 0.0343 0.8112 0.1588
Cl3 Cl 0.0623 0.4268 0.6554
Cl4 Cl 0.0623 0.6355 0.8446
Cl5 Cl 0.1537 0.4113 0.0001
Cl6 Cl 0.1537 0.7424 0.4999
Cl7 Cl 0.1888 0.2231 0.1588
Cl8 Cl 0.1888 0.9657 0.3412
Cl9 Cl 0.2231 0.0343 0.8412
Cl10 Cl 0.2231 0.1888 0.6588
Cl11 Cl 0.2576 0.4113 0.4999
Cl12 Cl 0.2576 0.8463 0.0001
Cl13 Cl 0.3645 0.4268 0.8446
Cl14 Cl 0.3645 0.9377 0.6554
Cl15 Cl 0.4113 0.1537 0.5001
Cl16 Cl 0.4113 0.2576 0.9999
Cl17 Cl 0.4268 0.0623 0.1554
Cl18 Cl 0.4268 0.3645 0.3446
Cl19 Cl 0.5732 0.6355 0.6554
Cl20 Cl 0.5732 0.9377 0.8446
Cl21 Cl 0.5887 0.7424 0.0001
Cl22 Cl 0.5887 0.8463 0.4999
Cl23 Cl 0.6355 0.0623 0.3446
Cl24 Cl 0.6355 0.5732 0.1554
Cl25 Cl 0.7424 0.1537 0.9999
Cl26 Cl 0.7424 0.5887 0.5001
Cl27 Cl 0.7769 0.8112 0.3412
Cl28 Cl 0.7769 0.9657 0.1588
Cl29 Cl 0.8112 0.0343 0.6588
Cl30 Cl 0.8112 0.7769 0.8412
Cl31 Cl 0.8463 0.2576 0.5001
Cl32 Cl 0.8463 0.5887 0.9999
Cl33 Cl 0.9377 0.3645 0.1554
Cl34 Cl 0.9377 0.5732 0.3446
Cl35 Cl 0.9657 0.1888 0.8412
Cl36 Cl 0.9657 0.7769 0.6588
```

Top 12 peaks for 2θ = 15–90°, sorted by position:
2θ = 21.16°, d = 4.199 Å, I 34.0; 2θ = 27.53°, d = 3.241 Å, I 22.3; 2θ = 28.56°, d = 3.126 Å, I 34.5; 2θ = 34.07°, d = 2.631 Å, I 24.7; 2θ = 35.19°, d = 2.551 Å, I 100.0; 2θ = 39.09°, d = 2.305 Å, I 27.7; 2θ = 42.19°, d = 2.142 Å, I 38.7; 2θ = 42.41°, d = 2.131 Å, I 30.7; 2θ = 43.08°, d = 2.100 Å, I 46.6; 2θ = 44.52°, d = 2.035 Å, I 24.3; 2θ = 50.62°, d = 1.803 Å, I 30.1; 2θ = 60.20°, d = 1.537 Å, I 19.9

[11]
Diffraction record for Cs2SrTcCl6. The powder diffractogram is computed, not measured: it uses a crystal structure in Alexandria, relaxed with PBE and Cu Ka.

Structural model:
```
data_Cs2SrTcCl6
_chemical_formula_sum 'Cs2 Sr1 Tc1 Cl6'
_cell_length_a 7.5308
_cell_length_b 7.5308
_cell_length_c 7.5308
_cell_angle_alpha 60.00
_cell_angle_beta 60.00
_cell_angle_gamma 60.00
_symmetry_space_group_name_H-M 'P 1'
_symmetry_Int_Tables_number 1
loop_
_symmetry_equiv_pos_as_xyz
'x,y,z'
loop_
_atom_site_label
_atom_site_type_symbol
_atom_site_fract_x
_atom_site_fract_y
_atom_site_fract_z
Cs1 Cs 0.2500 0.2500 0.2500
Cs2 Cs 0.7500 0.7500 0.7500
Sr1 Sr 0.0000 0.0000 0.0000
Tc1 Tc 0.5000 0.5000 0.5000
Cl1 Cl 0.2686 0.2686 0.7314
Cl2 Cl 0.2686 0.7314 0.2686
Cl3 Cl 0.2686 0.7314 0.7314
Cl4 Cl 0.7314 0.2686 0.2686
Cl5 Cl 0.7314 0.2686 0.7314
Cl6 Cl 0.7314 0.7314 0.2686
```

Top 12 peaks for 2θ = 15–90°, sorted by position:
2θ = 23.63°, d = 3.765 Å, I 100.0; 2θ = 29.04°, d = 3.074 Å, I 22.5; 2θ = 33.66°, d = 2.663 Å, I 60.4; 2θ = 41.54°, d = 2.174 Å, I 43.8; 2θ = 48.34°, d = 1.883 Å, I 40.1; 2θ = 54.49°, d = 1.684 Å, I 22.3; 2θ = 57.39°, d = 1.606 Å, I 7.2; 2θ = 60.20°, d = 1.537 Å, I 13.2; 2θ = 65.60°, d = 1.423 Å, I 24.8; 2θ = 75.79°, d = 1.255 Å, I 11.4; 2θ = 80.70°, d = 1.191 Å, I 16.4; 2θ = 85.54°, d = 1.135 Å, I 6.5

[12]
Diffraction record for CsSrTl2Cl8. The powder diffractogram is computed, not measured: it uses a crystal structure in Alexandria, relaxed with PBE and Cu Ka.

Structural model:
```
data_CsSrTl2Cl8
_chemical_formula_sum 'Cs1 Sr1 Tl2 Cl8'
_cell_length_a 7.0659
_cell_length_b 7.0659
_cell_length_c 10.2972
_cell_angle_alpha 90.00
_cell_angle_beta 90.00
_cell_angle_gamma 120.00
_symmetry_space_group_name_H-M 'P 1'
_symmetry_Int_Tables_number 1
loop_
_symmetry_equiv_pos_as_xyz
'x,y,z'
loop_
_atom_site_label
_atom_site_type_symbol
_atom_site_fract_x
_atom_site_fract_y
_atom_site_fract_z
Cs1 Cs 0.0000 0.0000 0.0000
Sr1 Sr 0.0000 0.0000 0.5000
Tl1 Tl 0.3333 0.6667 0.7517
Tl2 Tl 0.6667 0.3333 0.2483
Cl1 Cl 0.0177 0.6906 0.3202
Cl2 Cl 0.3094 0.3270 0.3202
Cl3 Cl 0.3270 0.0177 0.6798
Cl4 Cl 0.3333 0.6667 0.9966
Cl5 Cl 0.6667 0.3333 0.0034
Cl6 Cl 0.6730 0.9823 0.3202
Cl7 Cl 0.6906 0.6730 0.6798
Cl8 Cl 0.9823 0.3094 0.6798
```

Top 12 peaks for 2θ = 15–90°, sorted by position:
2θ = 16.85°, d = 5.260 Å, I 100.0; 2θ = 22.57°, d = 3.940 Å, I 63.4; 2θ = 25.21°, d = 3.533 Å, I 59.0; 2θ = 26.68°, d = 3.342 Å, I 17.7; 2θ = 29.85°, d = 2.994 Å, I 26.1; 2θ = 30.48°, d = 2.933 Å, I 29.6; 2θ = 34.09°, d = 2.630 Å, I 25.3; 2θ = 39.95°, d = 2.257 Å, I 25.6; 2θ = 42.87°, d = 2.110 Å, I 25.7; 2θ = 43.50°, d = 2.081 Å, I 43.0; 2θ = 44.41°, d = 2.040 Å, I 29.7; 2θ = 47.40°, d = 1.918 Å, I 15.3